[1]
The following is a theoretical powder X-ray diffraction pattern of Ac2CePO8. It was derived from the GGA-PBE geometry in Alexandria, using λ = 1.5418 Å (Cu Kα).
Peak positions follow from Bragg's law for the DFT cell and can differ from measured ones.

Cell and atoms:
a = 5.548 Å, b = 5.548 Å, c = 6.233 Å
α = 90.00°, β = 90.00°, γ = 120.00°
Positions (direct):
Ac: 0.333 0.667 0.355
Ac: 0.667 0.333 0.645
Ce: 0.000 0.000 0.000
P: 0.000 0.000 0.500
O: 0.143 0.287 0.667
O: 0.143 0.857 0.667
O: 0.287 0.143 0.333
O: 0.333 0.667 0.007
O: 0.667 0.333 0.993
O: 0.713 0.857 0.667
O: 0.857 0.143 0.333
O: 0.857 0.713 0.333

Peak list (10 most intense, 15° ≤ 2θ ≤ 90°, by intensity)
hkl	d (Å)	2theta	I (rel.)
0 1 1	3.805	23.4	100
1 1 0	2.774	32.3	70
1 0 2	2.615	34.3	49
2 0 1	2.242	40.2	40
0 2 2	1.903	47.8	29
1 2 1	1.744	52.5	25
1 1 3	1.663	55.2	22
2 1 2	1.569	58.9	22
3 0 0	1.602	57.5	13
0 0 3	2.078	43.6	11

=====

[2]
The following is a theoretical powder X-ray diffraction pattern of Ac2CePuO8. It was derived from the GGA-PBE geometry in Alexandria, using λ = 1.5418 Å (Cu Kα).
Peak positions follow from Bragg's law for the DFT cell and can differ from measured ones.

Cell and atoms:
a = 4.136 Å, b = 5.756 Å, c = 7.885 Å
α = 87.22°, β = 89.54°, γ = 83.89°
Positions (direct):
Ac: 0.004 0.008 0.250
Ac: 0.996 0.992 0.750
Ce: 0.500 0.500 0.000
Pu: 0.500 0.500 0.500
O: 0.053 0.736 0.013
O: 0.083 0.710 0.509
O: 0.445 0.279 0.711
O: 0.457 0.275 0.253
O: 0.543 0.725 0.747
O: 0.555 0.721 0.289
O: 0.917 0.290 0.491
O: 0.947 0.264 0.987

Peak list (10 most intense, 15° ≤ 2θ ≤ 90°, by intensity)
hkl	d (Å)	2theta	I (rel.)
0 1 -2	3.177	28.1	100
1 1 0	3.520	25.3	67
0 1 2	3.318	26.9	57
1 0 2	2.844	31.5	55
1 2 -2	2.055	44.1	39
0 2 0	2.858	31.3	27
1 2 2	2.136	42.3	23
-1 2 2	1.977	45.9	17
0 0 4	1.969	46.1	17
1 1 -4	1.694	54.1	17

=====

[3]
The following is a theoretical powder X-ray diffraction pattern of AcCe2RuO8. It was derived from the GGA-PBE geometry in Alexandria, using λ = 1.5418 Å (Cu Kα).
Peak positions follow from Bragg's law for the DFT cell and can differ from measured ones.

Cell and atoms:
a = 5.121 Å, b = 7.110 Å, c = 5.126 Å
α = 90.00°, β = 90.99°, γ = 90.00°
Positions (direct):
Ac: 0.000 0.000 0.000
Ce: 0.500 0.260 0.500
Ce: 0.500 0.740 0.500
Ru: 0.000 0.500 0.000
O: 0.188 0.297 0.191
O: 0.188 0.703 0.191
O: 0.278 0.500 0.724
O: 0.331 0.000 0.675
O: 0.669 0.000 0.325
O: 0.722 0.500 0.276
O: 0.812 0.297 0.809
O: 0.812 0.703 0.809

Peak list (10 most intense, 15° ≤ 2θ ≤ 90°, by intensity)
hkl	d (Å)	2theta	I (rel.)
0 2 1	2.921	30.6	100
1 0 -1	3.654	24.4	55
1 0 1	3.591	24.8	53
1 2 -2	1.935	47.0	39
1 2 2	1.916	47.4	38
2 0 0	2.561	35.0	29
3 2 0	1.539	60.1	22
2 4 0	1.460	63.7	12
1 4 1	1.593	57.9	11
0 1 1	4.156	21.4	10

=====

[4]
The following is a theoretical powder X-ray diffraction pattern of AcCeRuO6. It was derived from the GGA-PBE geometry in Alexandria, using λ = 1.5418 Å (Cu Kα).
Peak positions follow from Bragg's law for the DFT cell and can differ from measured ones.

Cell and atoms:
a = 5.606 Å, b = 5.606 Å, c = 10.549 Å
α = 90.00°, β = 90.00°, γ = 120.00°
Positions (direct):
Ac: 0.000 0.000 0.000
Ac: 0.000 0.000 0.500
Ce: 0.333 0.667 0.250
Ce: 0.667 0.333 0.750
Ru: 0.333 0.667 0.750
Ru: 0.667 0.333 0.250
O: 0.036 0.379 0.644
O: 0.036 0.656 0.856
O: 0.344 0.379 0.856
O: 0.344 0.964 0.644
O: 0.379 0.036 0.144
O: 0.379 0.344 0.356
O: 0.621 0.656 0.644
O: 0.621 0.964 0.856
O: 0.656 0.036 0.356
O: 0.656 0.621 0.144
O: 0.964 0.344 0.144
O: 0.964 0.621 0.356

Peak list (10 most intense, 15° ≤ 2θ ≤ 90°, by intensity)
hkl	d (Å)	2theta	I (rel.)
1 0 2	3.572	24.9	100
1 1 0	2.803	31.9	39
1 1 4	1.921	47.3	38
2 0 2	2.205	40.9	26
2 1 2	1.733	52.8	26
3 0 0	1.618	56.9	12
1 0 6	1.653	55.6	11
4 -1 2	1.305	72.4	10
3 -1 6	1.270	74.8	9
0 0 4	2.637	34.0	9

=====

[5]
The following is a theoretical powder X-ray diffraction pattern of Ac2TbCeO6. It was derived from the GGA-PBE geometry in Alexandria, using λ = 1.5418 Å (Cu Kα).
Peak positions follow from Bragg's law for the DFT cell and can differ from measured ones.

Cell and atoms:
a = 6.117 Å, b = 6.311 Å, c = 10.761 Å
α = 90.00°, β = 124.55°, γ = 90.00°
Positions (direct):
Ac: 0.236 0.048 0.252
Ac: 0.236 0.452 0.752
Ac: 0.764 0.548 0.248
Ac: 0.764 0.952 0.748
Tb: 0.000 0.000 0.500
Tb: 0.000 0.500 0.000
Ce: 0.500 0.000 0.000
Ce: 0.500 0.500 0.500
O: 0.121 0.203 0.927
O: 0.121 0.297 0.427
O: 0.233 0.693 0.933
O: 0.233 0.807 0.433
O: 0.372 0.061 0.744
O: 0.372 0.439 0.244
O: 0.628 0.561 0.756
O: 0.628 0.939 0.256
O: 0.767 0.193 0.567
O: 0.767 0.307 0.067
O: 0.879 0.703 0.573
O: 0.879 0.797 0.073

Peak list (10 most intense, 15° ≤ 2θ ≤ 90°, by intensity)
hkl	d (Å)	2theta	I (rel.)
1 1 1	3.120	28.6	100
0 2 4	1.814	50.3	25
2 0 -2	3.059	29.2	23
3 1 -1	1.777	51.4	23
0 2 0	3.156	28.3	22
2 2 -2	2.196	41.1	19
0 0 4	2.216	40.7	12
2 0 2	1.795	50.9	12
2 2 2	1.560	59.2	12
1 3 -2	1.941	46.8	8

=====

[6]
The following is a theoretical powder X-ray diffraction pattern of AcCe2TeO4. It was derived from the GGA-PBE geometry in Alexandria, using λ = 1.5418 Å (Cu Kα).
Peak positions follow from Bragg's law for the DFT cell and can differ from measured ones.

Cell and atoms:
a = 4.063 Å, b = 4.063 Å, c = 9.484 Å
α = 90.00°, β = 90.00°, γ = 90.00°
Positions (direct):
Ac: 0.000 0.000 0.000
Ce: 0.500 0.500 0.278
Ce: 0.500 0.500 0.722
Te: 0.000 0.000 0.500
O: 0.000 0.500 0.168
O: 0.000 0.500 0.832
O: 0.500 0.000 0.168
O: 0.500 0.000 0.832

Peak list (10 most intense, 15° ≤ 2θ ≤ 90°, by intensity)
hkl	d (Å)	2theta	I (rel.)
1 0 2	3.085	28.9	100
2 1 2	1.697	54.0	35
1 1 0	2.873	31.1	35
1 1 4	1.829	49.9	21
2 0 0	2.031	44.6	20
3 2 2	1.096	89.4	11
2 0 4	1.543	60.0	10
0 0 4	2.371	37.9	9
1 0 1	3.735	23.8	9
3 1 4	1.130	86.1	9